Entry 1:
For K4Rb5Na6, a structure optimized by DFT (GGA-PBE) gives the theoretical powder X-ray diffraction pattern in this record (Cu Kα, 1.54184 Å).
Peak positions follow from Bragg's law for the DFT cell and can differ from measured ones.

Peak list (12 most intense, 10 to 90 degrees two-theta, in order of falling intensity)
2θ 23.88, intensity 100; 2θ 25.38, intensity 94; 2θ 22.02, intensity 83; 2θ 25.97, intensity 62; 2θ 24.30, intensity 59; 2θ 24.68, intensity 51; 2θ 37.60, intensity 49; 2θ 23.12, intensity 44; 2θ 26.18, intensity 43; 2θ 23.68, intensity 40; 2θ 23.56, intensity 32; 2θ 28.41, intensity 27

Structural model:
```
K4Rb5Na6
1.0
2.3922 -17.3321 0.0000
2.3922 17.3321 0.0000
0.0000 0.0000 23.0941
K Rb Na
8 10 12
Direct
0.0218 0.9782 0.5000
0.0678 0.9322 0.7838
0.1120 0.8880 0.2807
0.1806 0.8194 0.9439
0.8194 0.1806 0.4439
0.8880 0.1120 0.7807
0.9322 0.0678 0.2838
0.9782 0.0218 0.0000
0.2011 0.7989 0.5876
0.3129 0.6871 0.2668
0.3282 0.6718 0.6263
0.3693 0.6307 0.9463
0.4761 0.5239 0.6651
0.5239 0.4761 0.1651
0.6307 0.3693 0.4463
0.6718 0.3282 0.1263
0.6871 0.3129 0.7668
0.7989 0.2011 0.0876
0.0880 0.9120 0.0488
0.2282 0.7718 0.4070
0.2881 0.7119 0.7957
0.4043 0.5957 0.1274
0.4247 0.5753 0.4331
0.4791 0.5209 0.8527
0.5209 0.4791 0.3527
0.5753 0.4247 0.9331
0.5957 0.4043 0.6274
0.7119 0.2881 0.2957
0.7718 0.2282 0.9070
0.9120 0.0880 0.5488
```

Entry 2:
For HoHf3Al8, a structure optimized by DFT (GGA-PBE) gives the theoretical powder X-ray diffraction pattern in this record (Cu Kα, 1.54184 Å).
Peak positions follow from Bragg's law for the DFT cell and can differ from measured ones.

Peak list (12 most intense, 10 to 90 degrees two-theta, in order of falling intensity)
2θ 36.24, intensity 100; 2θ 33.75, intensity 76; 2θ 39.60, intensity 67; 2θ 19.29, intensity 44; 2θ 61.99, intensity 41; 2θ 21.79, intensity 35; 2θ 40.53, intensity 28; 2θ 66.79, intensity 23; 2θ 20.12, intensity 23; 2θ 28.02, intensity 20; 2θ 50.35, intensity 19; 2θ 82.38, intensity 19

Structural model:
```
HoHf3Al8
1.0
5.3120 0.0000 0.0000
-2.6560 4.6003 0.0000
0.0000 0.0000 8.8278
Ho Hf Al
1 3 8
Direct
0.0000 0.0000 0.0000
0.0000 0.0000 0.3723
0.6667 0.3333 0.5008
0.6667 0.3333 0.8617
0.1627 0.3254 0.6809
0.1627 0.8373 0.6809
0.3333 0.6667 0.4367
0.3333 0.6667 0.9338
0.5041 0.0082 0.1910
0.5041 0.4959 0.1910
0.6746 0.8373 0.6809
0.9918 0.4959 0.1910
```

Entry 3:
For Hg5NCl11, a structure optimized by DFT (GGA-PBE) gives the theoretical powder X-ray diffraction pattern in this record (Cu Kα, 1.54184 Å).
Peak positions follow from Bragg's law for the DFT cell and can differ from measured ones.

Peak list (12 most intense, 10 to 90 degrees two-theta, in order of falling intensity)
2θ 15.52, intensity 100; 2θ 28.69, intensity 96; 2θ 18.74, intensity 47; 2θ 27.92, intensity 37; 2θ 29.97, intensity 35; 2θ 22.29, intensity 34; 2θ 19.76, intensity 33; 2θ 26.63, intensity 26; 2θ 34.15, intensity 26; 2θ 16.21, intensity 21; 2θ 45.49, intensity 17; 2θ 33.77, intensity 17

Structural model:
```
Hg5NCl11
1.0
5.9847 -7.8777 0.0000
5.9847 7.8777 0.0000
-2.5083 0.0000 5.6388
Hg N Cl
5 1 11
Direct
0.0000 0.0000 0.0000
0.1418 0.4685 0.3093
0.4685 0.1418 0.3093
0.5315 0.8582 0.6907
0.8582 0.5315 0.6907
0.5000 0.5000 0.0000
0.0629 0.3173 0.9158
0.1440 0.1440 0.3934
0.2066 0.6240 0.6973
0.3173 0.0629 0.9158
0.3760 0.7934 0.3027
0.5000 0.5000 0.5000
0.6240 0.2066 0.6973
0.6827 0.9371 0.0842
0.7934 0.3760 0.3027
0.8560 0.8560 0.6066
0.9371 0.6827 0.0842
```

Entry 4:
For Na5BeP2, a structure optimized by DFT (GGA-PBE) gives the theoretical powder X-ray diffraction pattern in this record (Cu Kα, 1.54184 Å).
Peak positions follow from Bragg's law for the DFT cell and can differ from measured ones.

Peak list (12 most intense, 10 to 90 degrees two-theta, in order of falling intensity)
2θ 35.74, intensity 100; 2θ 34.00, intensity 63; 2θ 50.16, intensity 19; 2θ 63.11, intensity 18; 2θ 64.22, intensity 16; 2θ 29.78, intensity 14; 2θ 21.44, intensity 13; 2θ 67.73, intensity 12; 2θ 42.06, intensity 12; 2θ 57.68, intensity 10; 2θ 75.73, intensity 9; 2θ 43.52, intensity 8

Structural model:
```
Na5BeP2
1.0
5.0241 0.0000 0.0000
-2.5120 4.3510 0.0000
0.0000 0.0000 16.5743
Na Be P
10 2 4
Direct
0.0000 0.0000 0.1397
0.0000 0.0000 0.3603
0.0000 0.0000 0.6397
0.0000 0.0000 0.8603
0.3333 0.6667 0.0479
0.3333 0.6667 0.2500
0.3333 0.6667 0.4521
0.6667 0.3333 0.5479
0.6667 0.3333 0.7500
0.6667 0.3333 0.9521
0.3333 0.6667 0.7500
0.6667 0.3333 0.2500
0.3333 0.6667 0.6278
0.3333 0.6667 0.8722
0.6667 0.3333 0.1278
0.6667 0.3333 0.3722
```

Entry 5:
For HfZr3In, a structure optimized by DFT (GGA-PBE) gives the theoretical powder X-ray diffraction pattern in this record (Cu Kα, 1.54184 Å).
Peak positions follow from Bragg's law for the DFT cell and can differ from measured ones.

Peak list (12 most intense, 10 to 90 degrees two-theta, in order of falling intensity)
2θ 34.13, intensity 100; 2θ 35.50, intensity 71; 2θ 38.92, intensity 69; 2θ 36.37, intensity 62; 2θ 27.38, intensity 35; 2θ 35.16, intensity 35; 2θ 28.57, intensity 22; 2θ 31.25, intensity 21; 2θ 37.04, intensity 20; 2θ 27.94, intensity 20; 2θ 33.44, intensity 20; 2θ 59.44, intensity 19

Structural model:
```
HfZr3In
1.0
5.7242 -5.3592 0.0000
5.7242 5.3592 0.0000
0.0000 0.0000 7.6956
Hf Zr In
4 12 4
Direct
0.1315 0.8685 0.9257
0.3685 0.6315 0.4257
0.6315 0.3685 0.5743
0.8685 0.1315 0.0743
0.0279 0.6672 0.6084
0.0862 0.9138 0.3175
0.1672 0.5279 0.1084
0.3328 0.9721 0.6084
0.4138 0.5862 0.8175
0.4721 0.8328 0.1084
0.5279 0.1672 0.8916
0.5862 0.4138 0.1825
0.6672 0.0279 0.3916
0.8328 0.4721 0.8916
0.9138 0.0862 0.6825
0.9721 0.3328 0.3916
0.1874 0.3126 0.7500
0.3126 0.1874 0.2500
0.6874 0.8126 0.7500
0.8126 0.6874 0.2500
```